# KCeBi2
Theoretical XRD peak list, Cu Ka. Input: DFT lattice parameters and positions (GGA-PBE).

Crystal structure
Unit cell a=4.8301 b=4.8301 c=23.9403 alpha=90.00 beta=90.00 gamma=120.00
Fractional coordinates of all 12 atoms:
K 0.0000 0.0000 0.0000
K 0.3333 0.6667 0.6667
K 0.6667 0.3333 0.3333
Ce 0.0000 0.0000 0.5000
Ce 0.3333 0.6667 0.1667
Ce 0.6667 0.3333 0.8333
Bi 0.0000 0.0000 0.2312
Bi 0.0000 0.0000 0.7688
Bi 0.3333 0.6667 0.4355
Bi 0.3333 0.6667 0.8978
Bi 0.6667 0.3333 0.1022
Bi 0.6667 0.3333 0.5645

Largest 10 diffraction maxima, low angle first, 2θ = 5–70°:
two_theta, d_spacing, Rel. int.
11.09, 7.980, 43
22.52, 3.949, 22
25.99, 3.429, 100
33.86, 2.648, 27
36.93, 2.434, 24
37.23, 2.415, 46
38.96, 2.312, 14
45.97, 1.974, 22
47.07, 1.931, 17
60.57, 1.529, 19